Starting from DFT lattice parameters and positions (GGA-PBE), the powder X-ray diffraction pattern of RbMg2ScI was simulated for Cu Ka.

Most intense lines, 10 to 90 degrees two-theta, in order of rising 2θ:
d (Å)  I_rel  index
6.026  30.1  1 0 0
4.261  76.2  1 1 0
3.428  100.0  1 1 1
3.013  71.3  2 0 0
2.886  31.7  0 0 2
2.390  32.6  1 1 2
2.131  26.0  2 2 0
2.084  48.6  2 0 2
1.810  31.9  3 1 1
1.714  25.8  2 2 2

Structural model:
```
data_RbMg2ScI
_cell_length_a 6.0265
_cell_length_b 6.0265
_cell_length_c 5.7720
_cell_angle_alpha 90.00
_cell_angle_beta 90.00
_cell_angle_gamma 90.00
_symmetry_space_group_name_H-M 'P 4/m m m'
_symmetry_Int_Tables_number 123
_symmetry_space_group_name_Hall '-P 4 2'
loop_
_atom_site_label
_atom_site_fract_x
_atom_site_fract_y
_atom_site_fract_z
Rb1 0.0000 0.0000 0.0000
Mg1 0.0000 0.5000 0.5000
Sc1 0.5000 0.5000 0.5000
I1 0.5000 0.5000 0.0000
```